[1]
Starting from a cell relaxed with PBE+U, the X-ray powder pattern of Cd2CoO3 was simulated for Cu Kα (λ = 1.5418 Å).
No peak broadening, texture or thermal motion is included.

```
data_Cd2CoO3
_cell_length_a 10.678
_cell_length_b 6.146
_cell_length_c 5.592
_cell_angle_alpha 90.00
_cell_angle_beta 90.00
_cell_angle_gamma 90.00
_symmetry_space_group_name_H-M 'C m c 21'
_symmetry_Int_Tables_number 36
loop_
_symmetry_equiv_pos_as_xyz
'x,y,z'
'-x,-y,z+1/2'
'-x,y,z'
'x,-y,z+1/2'
'x+1/2,y+1/2,z'
'-x+1/2,-y+1/2,z+1/2'
'-x+1/2,y+1/2,z'
'x+1/2,-y+1/2,z+1/2'
loop_
_atom_site_label
_atom_site_fract_x
_atom_site_fract_y
_atom_site_fract_z
Cd1 0.162 0.172 0.000
Co1 0.000 0.341 0.497
O1 0.000 0.362 0.139
O2 0.153 0.180 0.597
```

Peak list (8 most intense, 10 to 90 degrees two-theta, in order of falling intensity)
2theta, Rel. int.
33.23, 100.0
29.01, 42.9
32.01, 34.9
57.83, 28.3
43.74, 21.2
51.47, 20.4
61.91, 18.5
51.34, 10.3


[2]
Starting from a cell relaxed with PBE+U, the X-ray powder pattern of PaCdCoO5 was simulated for Cu Kα (λ = 1.5418 Å).
No peak broadening, texture or thermal motion is included.

```
data_PaCdCoO5
_cell_length_a 6.716
_cell_length_b 9.626
_cell_length_c 8.008
_cell_angle_alpha 90.00
_cell_angle_beta 112.66
_cell_angle_gamma 90.00
_symmetry_space_group_name_H-M 'C 1 2/c 1'
_symmetry_Int_Tables_number 15
loop_
_symmetry_equiv_pos_as_xyz
'x,y,z'
'-x,-y,-z'
'-x,y,-z+1/2'
'x,-y,z+1/2'
'x+1/2,y+1/2,z'
'-x+1/2,-y+1/2,-z'
'-x+1/2,y+1/2,-z+1/2'
'x+1/2,-y+1/2,z+1/2'
loop_
_atom_site_label
_atom_site_fract_x
_atom_site_fract_y
_atom_site_fract_z
Pa1 0.000 0.000 0.000
Cd1 0.000 0.340 0.250
Co1 0.000 0.316 0.750
O1 0.000 0.097 0.250
O2 0.135 0.194 0.647
O3 0.166 0.443 0.923
```

Peak list (8 most intense, 10 to 90 degrees two-theta, in order of falling intensity)
2theta, Rel. int.
24.61, 100.0
31.39, 71.7
30.50, 63.4
28.81, 52.9
17.02, 46.5
33.99, 28.5
35.13, 26.8
42.13, 25.3


[3]
Starting from a cell relaxed with PBE+U, the X-ray powder pattern of CdCoPbO4 was simulated for Cu Kα (λ = 1.5418 Å).
No peak broadening, texture or thermal motion is included.

```
data_CdCoPbO4
_cell_length_a 6.367
_cell_length_b 6.690
_cell_length_c 9.218
_cell_angle_alpha 90.00
_cell_angle_beta 90.00
_cell_angle_gamma 90.00
_symmetry_space_group_name_H-M 'I m m a'
_symmetry_Int_Tables_number 74
_symmetry_space_group_name_Hall '-I 2b 2'
loop_
_atom_site_label
_atom_site_fract_x
_atom_site_fract_y
_atom_site_fract_z
Cd1 0.000 0.250 0.141
Co1 0.250 0.250 0.750
Pb1 0.000 0.000 0.500
O1 0.000 0.036 0.736
O2 0.233 0.250 0.514
```

Peak list (8 most intense, 10 to 90 degrees two-theta, in order of falling intensity)
2theta, Rel. int.
31.74, 100.0
32.35, 56.4
16.92, 54.7
56.45, 44.7
33.09, 30.1
28.03, 29.7
51.98, 27.5
32.63, 26.3


[4]
Starting from a cell relaxed with PBE+U, the X-ray powder pattern of Cd2CoRuO6 was simulated for Cu Kα (λ = 1.5418 Å).
No peak broadening, texture or thermal motion is included.

```
data_Cd2CoRuO6
_cell_length_a 5.356
_cell_length_b 5.356
_cell_length_c 4.077
_cell_angle_alpha 90.00
_cell_angle_beta 90.00
_cell_angle_gamma 90.00
_symmetry_space_group_name_H-M 'P 4 m m'
_symmetry_Int_Tables_number 99
loop_
_symmetry_equiv_pos_as_xyz
'x,y,z'
'-y,x,z'
'-x,-y,z'
'y,-x,z'
'-x,y,z'
'y,x,z'
'x,-y,z'
'-y,-x,z'
loop_
_atom_site_label
_atom_site_fract_x
_atom_site_fract_y
_atom_site_fract_z
Cd1 0.000 0.500 0.000
Co1 0.000 0.000 0.560
Ru1 0.500 0.500 0.552
O1 0.000 0.000 0.105
O2 0.247 0.247 0.615
O3 0.500 0.500 0.089
```

Peak list (8 most intense, 10 to 90 degrees two-theta, in order of falling intensity)
2theta, Rel. int.
32.26, 100.0
33.46, 45.9
59.05, 34.3
48.04, 28.9
56.75, 19.7
67.51, 14.4
44.44, 13.9
40.29, 9.2